SrTl6Hg6: calculated XRD peak list (CuKα), based on a structure optimized by DFT (GGA-PBE).
Lines closer than 0.1° are merged.

Most intense lines, 2θ from 10° to 90°, by angle:
27.1°, rel. 22, hkl 1 3 0; 29.8°, rel. 48, hkl 1 1 3; 30.6°, rel. 26, hkl 0 4 0; 31.8°, rel. 48, hkl 1 3 2; 33.0°, rel. 40, hkl 2 2 0; 33.2°, rel. 25, hkl 0 0 4; 33.6°, rel. 31, hkl 2 0 2; 34.9°, rel. 43, hkl 0 4 2; 36.6°, rel. 23, hkl 0 2 4; 37.0°, rel. 100, hkl 2 2 2; 37.2°, rel. 21, hkl 1 1 4; 55.9°, rel. 22, hkl 2 6 0

Structure:
Lattice parameters (Å, degrees): 6.1314 11.6952 10.8073 90.00 90.00 90.00
Space group Cmmm (No. 65)
Symmetry-distinct sites (fractional):
Sr 0.0000 0.0000 0.0000 [2 per cell]
Tl 0.0000 0.0000 0.3479 [4 per cell]
Tl 0.0000 0.3057 0.0000 [4 per cell]
Tl 0.0000 0.3627 0.5000 [4 per cell]
Hg 0.0000 0.5000 0.2051 [4 per cell]
Hg 0.2500 0.2500 0.2649 [8 per cell]